[1]
# KH3Au
Computed powder diffraction line list, Cu Kα, 1.54184 Å. Input: a crystal structure in Alexandria, relaxed with PBE.
Lines closer than 0.1° are merged.

Structure:
a = 7.1643 Å, b = 4.7383 Å, c = 11.5131 Å
α = 90.00°, β = 120.43°, γ = 90.00°
Space group P2_1/c (No. 14)
One atom of each set of equivalent atoms:
K: 0.2113 0.2216 0.1793 [4 per cell]
H: 0.1912 0.5774 0.3507 [4 per cell]
H: 0.2273 0.7336 0.0807 [4 per cell]
H: 0.4903 0.5785 0.9068 [4 per cell]
Au: 0.3352 0.7003 0.9800 [4 per cell]

Largest 12 diffraction maxima, in order of rising 2θ, 2θ = 10–90°:
two_theta  I (rel.)  index
14.34  50  1 0 0
16.29  59  1 0 -2
17.87  100  0 0 2
23.66  59  1 1 0
24.92  94  1 1 -2
31.31  42  1 0 -4
31.49  74  2 1 -2
34.07  61  1 1 2
34.67  50  2 1 0
37.94  42  0 2 0
38.13  26  2 1 -4
51.42  28  2 1 -6


[2]
# LiV2Te4
Computed powder diffraction line list, Cu Kα, 1.54184 Å. Input: a crystal structure in Alexandria, relaxed with PBE.
Lines closer than 0.1° are merged.

Structure:
a = 15.1410 Å, b = 3.7720 Å, c = 6.6872 Å
α = 90.00°, β = 114.01°, γ = 90.00°
Space group C2/m (No. 12)
One atom of each set of equivalent atoms:
Li: 0.0000 0.0000 0.0000 [2 per cell]
V: 0.2475 0.5000 0.7099 [4 per cell]
Te: 0.1205 0.0000 0.4634 [4 per cell]
Te: 0.1454 0.5000 0.9799 [4 per cell]

Largest 12 diffraction maxima, in order of rising 2θ, 2θ = 10–90°:
two_theta  I (rel.)  index
12.80  36  2 0 0
25.77  40  4 0 0
29.24  33  0 0 2
29.90  100  1 1 1
30.14  52  4 0 -2
30.34  49  3 1 -1
37.41  43  3 1 1
38.15  32  6 0 -2
47.41  44  3 1 -3
48.25  20  0 2 0
48.68  29  7 1 -1
55.52  20  7 1 -3


[3]
# Ba
Computed powder diffraction line list, Cu Kα, 1.54184 Å. Input: a crystal structure in Alexandria, relaxed with PBE.
Lines closer than 0.1° are merged.

Structure:
a = 4.2870 Å, b = 7.9642 Å, c = 7.7211 Å
α = 90.00°, β = 106.03°, γ = 90.00°
Space group C2/c (No. 15)
One atom of each set of equivalent atoms:
Ba: 0.0000 0.1251 0.2500 [4 per cell]

Largest 12 diffraction maxima, in order of rising 2θ, 2θ = 10–90°:
two_theta  I (rel.)  index
23.98  52  0 0 2
24.33  100  1 1 -1
25.38  90  0 2 1
29.77  60  1 1 1
38.59  30  1 1 -3
40.42  26  1 3 0
43.05  22  0 2 3
43.97  20  2 0 0
44.10  20  1 3 -2
48.21  16  2 2 -1
49.29  15  1 1 3
54.55  21  2 2 1


[4]
# AcLa5Pm2Y
Computed powder diffraction line list, Cu Kα, 1.54184 Å. Input: a crystal structure in Alexandria, relaxed with PBE.
Lines closer than 0.1° are merged.

Structure:
a = 9.3122 Å, b = 9.3122 Å, c = 15.4627 Å
α = 90.00°, β = 90.00°, γ = 90.00°
Space group I4/mcm (No. 140)
One atom of each set of equivalent atoms:
Ac: 0.0000 0.0000 0.2500 [4 per cell]
La: 0.0000 0.0000 0.0000 [4 per cell]
La: 0.2030 0.2970 0.1311 [16 per cell]
Pm: 0.1134 0.3866 0.5000 [8 per cell]
Y: 0.0000 0.5000 0.2500 [4 per cell]

Largest 12 diffraction maxima, in order of rising 2θ, 2θ = 10–90°:
two_theta  I (rel.)  index
27.08  51  2 2 0
27.54  50  2 1 3
30.05  100  2 0 4
30.35  28  3 1 0
35.23  21  3 2 1
36.18  17  2 1 5
40.36  15  4 1 1
40.47  11  4 0 2
47.01  13  0 0 8
49.74  19  4 2 4
55.10  14  2 2 8
55.66  16  5 1 4


[5]
# ThSn2P2Pd7
Computed powder diffraction line list, Cu Kα, 1.54184 Å. Input: a crystal structure in Alexandria, relaxed with PBE.
Lines closer than 0.1° are merged.

Structure:
a = 5.9668 Å, b = 6.8605 Å, c = 11.2072 Å
α = 90.00°, β = 93.41°, γ = 90.00°
Space group C2/m (No. 12)
One atom of each set of equivalent atoms:
Th: 0.0000 0.0000 0.0000 [2 per cell]
Sn: 0.1295 0.0000 0.3801 [4 per cell]
P: 0.1916 0.5000 0.1887 [4 per cell]
Pd: 0.0000 0.5000 0.0000 [2 per cell]
Pd: 0.1188 0.2930 0.7739 [8 per cell]
Pd: 0.1648 0.5000 0.4029 [4 per cell]

Largest 12 diffraction maxima, in order of rising 2θ, 2θ = 10–90°:
two_theta  I (rel.)  index
25.97  40  0 2 0
30.57  100  0 2 2
31.54  22  2 0 1
31.85  18  1 1 3
34.97  40  2 0 2
35.56  48  0 2 3
37.51  57  2 0 -3
40.31  49  0 0 5
40.56  94  2 2 -1
44.07  26  2 2 2
53.42  52  0 4 0
63.35  26  2 2 -6


[6]
# Be5Au6
Computed powder diffraction line list, Cu Kα, 1.54184 Å. Input: a crystal structure in Alexandria, relaxed with PBE.
Lines closer than 0.1° are merged.

Structure:
a = 13.0064 Å, b = 5.9467 Å, c = 4.1345 Å
α = 90.00°, β = 107.50°, γ = 90.00°
Space group C2/m (No. 12)
One atom of each set of equivalent atoms:
Be: 0.0000 0.0000 0.0000 [2 per cell]
Be: 0.1654 0.0000 0.6642 [4 per cell]
Be: 0.1719 0.5000 0.6688 [4 per cell]
Au: 0.0000 0.2545 0.5000 [4 per cell]
Au: 0.1635 0.2534 0.1610 [8 per cell]

Largest 12 diffraction maxima, in order of rising 2θ, 2θ = 10–90°:
two_theta  I (rel.)  index
30.05  100  0 2 0
30.30  98  2 0 1
30.86  94  4 0 -1
43.20  84  2 2 1
43.62  82  4 2 -1
43.79  81  2 0 -2
54.03  80  2 2 -2
71.00  18  2 4 1
71.30  18  4 4 -1
79.40  29  2 4 -2
79.77  29  0 2 3
80.64  28  6 2 -3


[7]
# Tm5Zn2Pb5
Computed powder diffraction line list, Cu Kα, 1.54184 Å. Input: a crystal structure in Alexandria, relaxed with PBE.
Lines closer than 0.1° are merged.

Structure:
a = 16.5649 Å, b = 4.5689 Å, c = 10.4199 Å
α = 90.00°, β = 128.32°, γ = 90.00°
Space group C2/m (No. 12)
One atom of each set of equivalent atoms:
Tm: 0.0000 0.0000 0.0000 [2 per cell]
Tm: 0.1059 0.0000 0.7937 [4 per cell]
Tm: 0.1829 0.0000 0.5371 [4 per cell]
Zn: 0.1437 0.5000 0.0159 [4 per cell]
Pb: 0.0000 0.5000 0.5000 [2 per cell]
Pb: 0.0722 0.5000 0.2647 [4 per cell]
Pb: 0.2485 0.5000 0.8003 [4 per cell]

Largest 12 diffraction maxima, in order of rising 2θ, 2θ = 10–90°:
two_theta  I (rel.)  index
32.38  100  3 1 -3
32.65  52  6 0 -2
34.88  98  3 1 1
35.40  13  5 1 -3
37.03  13  2 0 -4
39.44  41  0 2 0
44.32  14  0 0 4
52.10  28  6 2 -2
56.46  13  9 1 -5
61.31  13  9 1 -1
67.11  13  3 3 -3
68.61  14  3 3 1


[8]
# Pr5SmZn6
Computed powder diffraction line list, Cu Kα, 1.54184 Å. Input: a crystal structure in Alexandria, relaxed with PBE.
Lines closer than 0.1° are merged.

Structure:
a = 5.2235 Å, b = 7.4160 Å, c = 8.2717 Å
α = 90.00°, β = 108.21°, γ = 90.00°
Space group P2/m (No. 10)
One atom of each set of equivalent atoms:
Pr: 0.0000 0.0000 0.0000 [1 per cell]
Pr: 0.3326 0.0000 0.6648 [2 per cell]
Pr: 0.3340 0.5000 0.6676 [2 per cell]
Sm: 0.0000 0.5000 0.0000 [1 per cell]
Zn: 0.1644 0.2526 0.3291 [4 per cell]
Zn: 0.5000 0.2541 0.0000 [2 per cell]

Largest 12 diffraction maxima, in order of rising 2θ, 2θ = 10–90°:
two_theta  I (rel.)  index
24.01  11  1 0 1
24.10  5  1 0 -2
34.24  100  1 2 1
34.34  20  2 0 -1
42.29  5  0 2 3
49.16  14  2 0 2
49.36  7  2 0 -4
61.27  22  0 4 3
61.37  14  3 2 0
61.49  7  3 2 -3
72.09  7  2 4 2
82.25  11  3 2 3


[9]
# Y2Be2Pt5
Computed powder diffraction line list, Cu Kα, 1.54184 Å. Input: a crystal structure in Alexandria, relaxed with PBE.
Lines closer than 0.1° are merged.

Structure:
a = 4.0848 Å, b = 4.0848 Å, c = 8.8752 Å
α = 90.00°, β = 90.00°, γ = 90.00°
Space group P4/mmm (No. 123)
One atom of each set of equivalent atoms:
Y: 0.0000 0.0000 0.0000 [1 per cell]
Y: 0.0000 0.0000 0.5000 [1 per cell]
Be: 0.5000 0.5000 0.1381 [2 per cell]
Pt: 0.0000 0.5000 0.2555 [4 per cell]
Pt: 0.5000 0.5000 0.5000 [1 per cell]

Largest 12 diffraction maxima, in order of rising 2θ, 2θ = 10–90°:
two_theta  I (rel.)  index
20.01  14  0 0 2
23.98  8  1 0 1
30.96  9  1 1 0
37.14  100  1 1 2
40.66  19  0 0 4
44.35  31  2 0 0
49.10  6  2 0 2
61.73  22  2 0 4
64.53  10  2 2 0
71.68  15  1 1 6
76.86  24  3 1 2
79.12  11  2 2 4


[10]
# Er3Tm2Bi2
Computed powder diffraction line list, Cu Kα, 1.54184 Å. Input: a crystal structure in Alexandria, relaxed with PBE.
Lines closer than 0.1° are merged.

Structure:
a = 11.9874 Å, b = 4.3045 Å, c = 8.4523 Å
α = 90.00°, β = 107.42°, γ = 90.00°
Space group C2/m (No. 12)
One atom of each set of equivalent atoms:
Er: 0.0000 0.0000 0.0000 [2 per cell]
Er: 0.1269 0.0000 0.4425 [4 per cell]
Tm: 0.1160 0.5000 0.7578 [4 per cell]
Bi: 0.1792 0.5000 0.1827 [4 per cell]

Largest 12 diffraction maxima, in order of rising 2θ, 2θ = 10–90°:
two_theta  I (rel.)  index
30.80  100  3 1 -1
31.32  39  4 0 0
32.28  37  2 0 -3
33.05  98  1 1 2
34.18  20  3 1 -2
36.34  23  4 0 1
41.98  32  0 2 0
53.92  17  2 2 -3
56.71  13  4 2 1
58.25  18  7 1 -1
59.14  13  3 1 -5
71.03  11  1 3 2


[11]
# CePm2Hg7
Computed powder diffraction line list, Cu Kα, 1.54184 Å. Input: a crystal structure in Alexandria, relaxed with PBE.
Lines closer than 0.1° are merged.

Structure:
a = 5.0789 Å, b = 5.0789 Å, c = 12.2531 Å
α = 90.00°, β = 90.00°, γ = 120.00°
Space group P3m1 (No. 156)
One atom of each set of equivalent atoms:
Ce: 0.0000 0.0000 0.0000 [1 per cell]
Pm: 0.3333 0.6667 0.6810 [1 per cell]
Pm: 0.6667 0.3333 0.3629 [1 per cell]
Hg: 0.0000 0.0000 0.2716 [1 per cell]
Hg: 0.0000 0.0000 0.5513 [1 per cell]
Hg: 0.3333 0.6667 0.1797 [1 per cell]
Hg: 0.3333 0.6667 0.4367 [1 per cell]
Hg: 0.3333 0.6667 0.9247 [1 per cell]
Hg: 0.6667 0.3333 0.0953 [1 per cell]
Hg: 0.6667 0.3333 0.8175 [1 per cell]

Largest 12 diffraction maxima, in order of rising 2θ, 2θ = 10–90°:
two_theta  I (rel.)  index
21.46  10  0 1 1
29.85  36  1 0 3
35.35  100  1 1 0
35.72  88  1 0 4
46.92  11  0 2 3
51.13  32  0 2 4
56.59  10  0 1 7
60.09  10  2 1 3
63.45  19  3 0 0
63.69  33  2 1 4
74.77  12  2 2 0
85.72  15  1 3 4


[12]
# Cs2ScSe2
Computed powder diffraction line list, Cu Kα, 1.54184 Å. Input: a crystal structure in Alexandria, relaxed with PBE.
Lines closer than 0.1° are merged.

Structure:
a = 7.9765 Å, b = 14.5286 Å, c = 6.8559 Å
α = 90.00°, β = 90.00°, γ = 90.00°
Space group Ibam (No. 72)
One atom of each set of equivalent atoms:
Cs: 0.1525 0.1507 0.0000 [8 per cell]
Sc: 0.0000 0.5000 0.2500 [4 per cell]
Se: 0.1858 0.4023 0.0000 [8 per cell]

Largest 12 diffraction maxima, in order of rising 2θ, 2θ = 10–90°:
two_theta  I (rel.)  index
21.47  36  1 3 0
24.51  36  0 4 0
25.99  53  0 0 2
26.57  100  2 1 1
30.01  51  1 4 1
31.86  30  2 3 1
34.50  21  2 0 2
36.03  45  0 4 2
40.61  25  2 5 1
46.22  28  2 1 3
53.45  35  0 0 4
56.19  19  3 7 0


- What is the formula in the seventh record?
  Tm5Zn2Pb5